# 1
The following is a simulated powder X-ray diffraction pattern of Pu2H2Cl. It was derived from a crystal structure in Alexandria, relaxed with GGA-PBE, using Cu Kα, 1.54184 Å.

Crystal structure
Cell: 7.0387 6.3164 3.9949 Å, 82.81 62.92 34.27°
Fractional coordinates of all 5 atoms:
Pu (0.1886, 0.1886, 0.8114)
Pu (0.8114, 0.8114, 0.1886)
H (0.2500, 0.2500, 0.2500)
H (0.7500, 0.7500, 0.7500)
Cl (0.5000, 0.5000, 0.5000)

Peak list (12 most intense, 2θ = 15–90°, by intensity)
2θ 35.92, I 100.0; 2θ 24.88, I 74.2; 2θ 28.99, I 50.6; 2θ 51.39, I 47.2; 2θ 47.12, I 36.2; 2θ 75.37, I 19.1; 2θ 60.35, I 17.9; 2θ 57.95, I 15.2; 2θ 51.05, I 11.1; 2θ 51.98, I 10.3; 2θ 60.11, I 10.3; 2θ 86.74, I 8.7

# 2
The following is a simulated powder X-ray diffraction pattern of RbH2Cl2. It was derived from a crystal structure in Alexandria, relaxed with GGA-PBE, using Cu Kα, 1.54184 Å.

Crystal structure
Cell: 5.2581 5.2581 14.7218 Å, 99.44 99.44 59.98°
Fractional coordinates of all 10 atoms:
Rb (0.1961, 0.8039, 0.7500)
Rb (0.8039, 0.1961, 0.2500)
H (0.0227, 0.4995, 0.0313)
H (0.4995, 0.0227, 0.5313)
H (0.5005, 0.9773, 0.4687)
H (0.9773, 0.5005, 0.9687)
Cl (0.1053, 0.5001, 0.1501)
Cl (0.5001, 0.1053, 0.6501)
Cl (0.4999, 0.8947, 0.3499)
Cl (0.8947, 0.4999, 0.8499)

Peak list (12 most intense, 2θ = 15–90°, by intensity)
2θ 21.10, I 100.0; 2θ 28.30, I 93.8; 2θ 34.11, I 80.2; 2θ 21.29, I 58.3; 2θ 28.67, I 50.8; 2θ 34.72, I 38.4; 2θ 35.18, I 24.3; 2θ 36.19, I 23.1; 2θ 46.55, I 22.4; 2θ 38.51, I 20.0; 2θ 36.55, I 19.8; 2θ 45.15, I 16.3

# 3
The following is a simulated powder X-ray diffraction pattern of Rb3H2Cl8. It was derived from a crystal structure in Alexandria, relaxed with GGA-PBE, using Cu Kα, 1.54184 Å.

Crystal structure
Cell: 10.6902 10.6902 10.6902 Å, 35.06 35.06 35.06°
Fractional coordinates of all 13 atoms:
Rb (0.0000, 0.0000, 0.0000)
Rb (0.2002, 0.2002, 0.2002)
Rb (0.7998, 0.7998, 0.7998)
H (0.3697, 0.3697, 0.3697)
H (0.6303, 0.6303, 0.6303)
Cl (0.2314, 0.7339, 0.7339)
Cl (0.2661, 0.2661, 0.7686)
Cl (0.2661, 0.7686, 0.2661)
Cl (0.3262, 0.3262, 0.3262)
Cl (0.6738, 0.6738, 0.6738)
Cl (0.7339, 0.2314, 0.7339)
Cl (0.7339, 0.7339, 0.2314)
Cl (0.7686, 0.2661, 0.2661)

Peak list (12 most intense, 2θ = 15–90°, by intensity)
2θ 33.07, I 100.0; 2θ 27.70, I 78.2; 2θ 32.66, I 68.4; 2θ 26.68, I 63.4; 2θ 34.30, I 60.7; 2θ 35.48, I 59.8; 2θ 21.73, I 59.7; 2θ 33.87, I 55.1; 2θ 53.88, I 48.6; 2θ 57.22, I 38.5; 2θ 16.16, I 36.5; 2θ 64.21, I 30.9

# 4
The following is a simulated powder X-ray diffraction pattern of Rb5HCl4. It was derived from a crystal structure in Alexandria, relaxed with GGA-PBE, using Cu Kα, 1.54184 Å.

Crystal structure
Cell: 12.3546 12.3546 12.3546 Å, 158.32 148.86 38.27°
Fractional coordinates of all 10 atoms:
Rb (0.0000, 0.0000, 0.0000)
Rb (0.2015, 0.2015, 0.0000)
Rb (0.4081, 0.4081, 0.0000)
Rb (0.5919, 0.5919, 0.0000)
Rb (0.7985, 0.7985, 0.0000)
H (0.5000, 0.0000, 0.5000)
Cl (0.0991, 0.5991, 0.5000)
Cl (0.3038, 0.8038, 0.5000)
Cl (0.6962, 0.1962, 0.5000)
Cl (0.9009, 0.4009, 0.5000)

Peak list (12 most intense, 2θ = 15–90°, by intensity)
2θ 27.07, I 100.0; 2θ 38.53, I 91.6; 2θ 23.34, I 67.0; 2θ 26.89, I 52.0; 2θ 63.01, I 22.2; 2θ 47.79, I 19.7; 2θ 38.75, I 18.7; 2θ 47.64, I 18.2; 2θ 62.74, I 16.6; 2θ 69.72, I 16.3; 2θ 45.41, I 12.5; 2θ 69.99, I 12.2

# 5
The following is a simulated powder X-ray diffraction pattern of RbHCl5. It was derived from a crystal structure in Alexandria, relaxed with GGA-PBE, using Cu Kα, 1.54184 Å.

Crystal structure
Cell: 8.6806 8.6806 5.3658 Å, 100.09 100.09 126.79°
Fractional coordinates of all 7 atoms:
Rb (0.0000, 0.0000, 0.0000)
H (0.2505, 0.7495, 0.5000)
Cl (0.2834, 0.2189, 0.6320)
Cl (0.5301, 0.4699, 0.5000)
Cl (0.7135, 0.1540, 0.6262)
Cl (0.7811, 0.7166, 0.3680)
Cl (0.8460, 0.2865, 0.3738)

Peak list (12 most intense, 2θ = 15–90°, by intensity)
2θ 22.92, I 100.0; 2θ 26.26, I 72.0; 2θ 30.98, I 53.4; 2θ 38.20, I 34.1; 2θ 35.28, I 30.5; 2θ 37.09, I 25.6; 2θ 31.41, I 24.5; 2θ 18.30, I 22.7; 2θ 24.50, I 21.6; 2θ 26.96, I 18.5; 2θ 39.03, I 18.3; 2θ 33.95, I 15.9

# 6
The following is a simulated powder X-ray diffraction pattern of RbH3Cl3. It was derived from a crystal structure in Alexandria, relaxed with GGA-PBE, using Cu Kα, 1.54184 Å.

Crystal structure
Cell: 7.4167 7.4167 7.4167 Å, 60.95 60.95 60.95°
Fractional coordinates of all 14 atoms:
Rb (0.2487, 0.2487, 0.2487)
Rb (0.7513, 0.7513, 0.7513)
H (0.3711, 0.4064, 0.6098)
H (0.3902, 0.6289, 0.5936)
H (0.4064, 0.6098, 0.3711)
H (0.5936, 0.3902, 0.6289)
H (0.6098, 0.3711, 0.4064)
H (0.6289, 0.5936, 0.3902)
Cl (0.2148, 0.2914, 0.7443)
Cl (0.2557, 0.7852, 0.7086)
Cl (0.2914, 0.7443, 0.2148)
Cl (0.7086, 0.2557, 0.7852)
Cl (0.7443, 0.2148, 0.2914)
Cl (0.7852, 0.7086, 0.2557)

Peak list (12 most intense, 2θ = 15–90°, by intensity)
2θ 29.15, I 100.0; 2θ 33.95, I 66.2; 2θ 29.72, I 34.5; 2θ 16.79, I 22.3; 2θ 57.83, I 20.9; 2θ 49.15, I 20.5; 2θ 48.40, I 18.2; 2θ 24.00, I 13.4; 2θ 58.50, I 11.9; 2θ 23.65, I 11.8; 2θ 57.50, I 9.8; 2θ 37.88, I 9.1